1.
For Ac2BAsRh6, the PBE geometry in Alexandria gives the simulated powder X-ray diffraction pattern in this record (Cu Ka).
Kinematic intensities with the Lorentz-polarization factor, no thermal factor.

Structure:
Cell: 4.558 4.558 8.934 Å, 90.00 90.00 90.00°
Positions (direct):
Ac 0.000 0.000 0.238
Ac 0.000 0.000 0.762
B 0.500 0.500 0.000
As 0.500 0.500 0.500
Rh 0.000 0.500 0.000
Rh 0.000 0.500 0.500
Rh 0.500 0.000 0.000
Rh 0.500 0.000 0.500
Rh 0.500 0.500 0.228
Rh 0.500 0.500 0.772

Top 6 peaks for 10° ≤ 2θ ≤ 90°, in order of rising 2θ:
two_theta	d_spacing	Rel. int.
28.0	3.190	18
34.3	2.614	100
39.5	2.279	48
40.4	2.233	21
57.8	1.595	29
68.4	1.372	27



2.
For Ba2AcAs2Br2, the PBE geometry in Alexandria gives the simulated powder X-ray diffraction pattern in this record (Cu Ka).
Kinematic intensities with the Lorentz-polarization factor, no thermal factor.

Structure:
Cell: 5.885 5.885 16.724 Å, 90.00 90.00 90.00°
Positions (direct):
Ba 0.000 0.000 0.118
Ba 0.000 0.000 0.882
Ba 0.500 0.500 0.382
Ba 0.500 0.500 0.618
Ac 0.000 0.000 0.500
Ac 0.500 0.500 0.000
As 0.000 0.500 0.000
As 0.000 0.500 0.500
As 0.500 0.000 0.000
As 0.500 0.000 0.500
Br 0.000 0.000 0.310
Br 0.000 0.000 0.690
Br 0.500 0.500 0.190
Br 0.500 0.500 0.810

Top 6 peaks for 10° ≤ 2θ ≤ 90°, in order of rising 2θ:
two_theta	d_spacing	Rel. int.
10.6	8.362	61
21.4	4.162	81
30.4	2.943	100
30.7	2.908	97
43.5	2.081	34
43.8	2.068	73



3.
For Ba2AcCeAs4, the PBE geometry in Alexandria gives the simulated powder X-ray diffraction pattern in this record (Cu Ka).
Kinematic intensities with the Lorentz-polarization factor, no thermal factor.

Structure:
Cell: 7.839 4.529 7.994 Å, 90.00 109.04 90.00°
Positions (direct):
Ba 0.000 0.000 0.000
Ba 0.500 0.500 0.000
Ac 0.000 0.500 0.500
Ce 0.500 0.000 0.500
As 0.257 0.000 0.720
As 0.278 0.500 0.288
As 0.722 0.500 0.712
As 0.743 0.000 0.280

Top 6 peaks for 10° ≤ 2θ ≤ 90°, in order of rising 2θ:
two_theta	d_spacing	Rel. int.
24.0	3.705	17
27.7	3.224	100
39.2	2.297	36
39.8	2.264	38
49.2	1.853	20
65.1	1.434	17



4.
For Ba2Ac3As3O2, the PBE geometry in Alexandria gives the simulated powder X-ray diffraction pattern in this record (Cu Ka).
Kinematic intensities with the Lorentz-polarization factor, no thermal factor.

Structure:
Cell: 13.478 13.478 13.478 Å, 159.47 159.47 29.19°
Positions (direct):
Ba 0.250 0.750 0.500
Ba 0.750 0.250 0.500
Ac 0.000 0.000 0.000
Ac 0.379 0.379 0.000
Ac 0.621 0.621 0.000
As 0.128 0.128 0.000
As 0.500 0.500 0.000
As 0.872 0.872 0.000
O 0.289 0.289 0.000
O 0.711 0.711 0.000

Top 6 peaks for 10° ≤ 2θ ≤ 90°, in order of rising 2θ:
two_theta	d_spacing	Rel. int.
26.2	3.397	76
27.1	3.287	96
27.4	3.261	100
29.7	3.013	74
37.4	2.402	97
47.0	1.934	93



- Number 1 is which compound?
  Ac2BAsRh6